For NaGeSb5O, a GGA-PBE-relaxed structure gives the theoretical PXRD pattern in this record (copper Kα).
Intensities are scaled so that the largest is 100.

Structural model:
```
16
Lattice="3.8969 -6.8972 0.0000 3.8969 6.8972 0.0000 -2.8398 0.0000 7.7803" Properties=species:S:1:pos:R:3 pbc="T T T"
Na 1.7670 5.0495 5.8352
Na 3.1869 -5.0495 1.9451
Ge 1.9484 3.4486 0.0000
Ge 0.5285 -3.4486 3.8901
Sb 3.1869 5.4226 1.9451
Sb 2.0295 0.4972 0.7955
Sb 1.8650 2.1397 3.9002
Sb 0.6096 -0.4972 4.6856
Sb 1.6690 2.1397 7.7702
Sb 3.2849 -2.1397 0.0101
Sb 4.3443 0.4972 3.0946
Sb 3.0890 -2.1397 3.8800
Sb 2.9244 -0.4972 6.9847
Sb 1.7670 -5.4226 5.8352
O 1.7670 2.7935 5.8352
O 3.1869 -2.7935 1.9451
```

Principal peaks in the range 2θ = 15–90°, in order of rising 2θ:
22.9 deg, I 29; 26.5 deg, I 52; 27.1 deg, I 24; 29.3 deg, I 81; 30.2 deg, I 100; 35.3 deg, I 42; 35.8 deg, I 48; 38.0 deg, I 34; 40.3 deg, I 25; 54.5 deg, I 23